For U12Rh4Se31, a DFT-relaxed cell (GGA-PBE, Alexandria) gives the computed powder XRD pattern in this record (Cu Kα (weighted mean of Kα1 and Kα2)).

Atomic structure:
abc: 13.656 13.656 13.717
angles: 90.00 90.00 90.00
Space group I4/mmm (No. 139)
Unique sites:
1 U 0.000 0.296 0.205 (multiplicity 16)
2 U 0.200 0.200 0.000 (multiplicity 8)
3 Rh 0.250 0.250 0.250 (multiplicity 8)
4 Se 0.000 0.000 0.000 (multiplicity 2)
5 Se 0.000 0.267 0.000 (multiplicity 8)
6 Se 0.000 0.500 0.250 (multiplicity 4)
7 Se 0.126 0.126 0.184 (multiplicity 16)
8 Se 0.127 0.309 0.373 (multiplicity 32)

Principal peaks in the range 2θ = 10–80°, in order of rising 2θ:
(hkl)	2theta	I_rel
0 0 2	12.95	1000
1 1 2	15.87	284
1 0 5	33.35	435
5 1 0	33.46	610
2 1 5	35.88	338
5 1 2	36.01	722
4 0 4	37.19	547
3 3 4	38.37	625
6 0 0	39.56	271
5 2 5	48.95	566